Diffraction record for TlSb2Ir. The XRD peak list is calculated, not measured: it uses the PBE geometry in Alexandria and a wavelength of 1.5418 Å.
No peak broadening, texture or thermal motion is included.

Principal peaks in the range 2θ = 10–90°, by angle:
| hkl | Position (°2θ) | Rel. int. |
| --- | --- | --- |
| 0 0 4 | 18.96 | 39 |
| 0 0 6 | 28.60 | 40 |
| 0 1 3 | 29.08 | 50 |
| 1 0 3 | 31.70 | 74 |
| 0 1 5 | 34.94 | 64 |
| 1 1 2 | 39.44 | 100 |
| 0 1 7 | 42.41 | 27 |
| 1 1 6 | 48.41 | 32 |
| 1 0 9 | 52.64 | 30 |
| 1 2 3 | 62.05 | 22 |

Structure:
```
data_TlSb2Ir
_chemical_formula_sum 'Tl2 Sb4 Ir2'
_symmetry_space_group_name_H-M 'I m m 2'
_symmetry_Int_Tables_number 44
_cell_length_a 3.165
_cell_length_b 3.527
_cell_length_c 18.726
_cell_angle_alpha 90.00
_cell_angle_beta 90.00
_cell_angle_gamma 90.00
loop_
_symmetry_equiv_pos_as_xyz
'x,y,z'
'-x,-y,z'
'-x,y,z'
'x,-y,z'
'x+1/2,y+1/2,z+1/2'
'-x+1/2,-y+1/2,z+1/2'
'-x+1/2,y+1/2,z+1/2'
'x+1/2,-y+1/2,z+1/2'
loop_
_atom_site_label
_atom_site_type_symbol
_atom_site_fract_x
_atom_site_fract_y
_atom_site_fract_z
_atom_site_occupancy
Tl1 Tl 0.000 0.000 0.000 1
Sb1 Sb 0.000 0.000 0.651 1
Sb2 Sb 0.000 0.500 0.333 1
Ir1 Ir 0.000 0.500 0.759 1
```

***

Diffraction record for GaHgAu2O6. The XRD peak list is calculated, not measured: it uses the PBE geometry in Alexandria and a wavelength of 1.5418 Å.
No peak broadening, texture or thermal motion is included.

Principal peaks in the range 2θ = 10–90°, by angle:
| hkl | Position (°2θ) | Rel. int. |
| --- | --- | --- |
| 1 1 1 | 21.78 | 29 |
| 1 1 -2 | 27.49 | 67 |
| 3 1 0 | 27.63 | 41 |
| 2 2 0 | 28.59 | 100 |
| 3 1 -2 | 30.94 | 20 |
| 4 0 0 | 33.60 | 22 |
| 4 0 -2 | 33.72 | 24 |
| 0 2 2 | 35.87 | 20 |
| 2 0 2 | 37.36 | 42 |
| 6 2 -2 | 53.35 | 20 |

Structure:
```
data_GaHgAu2O6
_chemical_formula_sum 'Ga4 Hg4 Au8 O24'
_symmetry_space_group_name_H-M 'C 1 2/c 1'
_symmetry_Int_Tables_number 15
_cell_length_a 11.642
_cell_length_b 7.702
_cell_length_c 7.191
_cell_angle_alpha 90.00
_cell_angle_beta 113.61
_cell_angle_gamma 90.00
loop_
_symmetry_equiv_pos_as_xyz
'x,y,z'
'-x,-y,-z'
'-x,y,-z+1/2'
'x,-y,z+1/2'
'x+1/2,y+1/2,z'
'-x+1/2,-y+1/2,-z'
'-x+1/2,y+1/2,-z+1/2'
'x+1/2,-y+1/2,z+1/2'
loop_
_atom_site_label
_atom_site_type_symbol
_atom_site_fract_x
_atom_site_fract_y
_atom_site_fract_z
_atom_site_occupancy
Ga1 Ga 0.000 0.176 0.250 1
Hg1 Hg 0.000 0.236 0.750 1
Au1 Au 0.200 0.460 0.590 1
O1 O 0.032 0.336 0.460 1
O2 O 0.114 0.003 0.244 1
O3 O 0.193 0.388 0.854 1
```

***

Diffraction record for K2Al. The XRD peak list is calculated, not measured: it uses the PBE geometry in Alexandria and a wavelength of 1.5418 Å.
No peak broadening, texture or thermal motion is included.

Principal peaks in the range 2θ = 10–90°, by angle:
| hkl | Position (°2θ) | Rel. int. |
| --- | --- | --- |
| 1 0 3 | 23.23 | 25 |
| 1 1 1 | 24.12 | 36 |
| 1 1 2 | 25.36 | 63 |
| 1 0 4 | 26.13 | 36 |
| 0 1 5 | 26.62 | 100 |
| 0 2 0 | 28.57 | 64 |
| 1 1 4 | 29.85 | 26 |
| 1 2 4 | 39.10 | 23 |
| 2 1 1 | 41.31 | 26 |
| 0 3 5 | 49.42 | 21 |

Structure:
```
data_K2Al
_chemical_formula_sum 'K8 Al4'
_symmetry_space_group_name_H-M 'P n m a'
_symmetry_Int_Tables_number 62
_cell_length_a 4.698
_cell_length_b 6.248
_cell_length_c 19.832
_cell_angle_alpha 90.00
_cell_angle_beta 90.00
_cell_angle_gamma 90.00
loop_
_symmetry_equiv_pos_as_xyz
'x,y,z'
'-x,-y,-z'
'-x+1/2,-y,z+1/2'
'x+1/2,y,-z+1/2'
'x+1/2,-y+1/2,-z+1/2'
'-x+1/2,y+1/2,z+1/2'
'-x,y+1/2,-z'
'x,-y+1/2,z'
loop_
_atom_site_label
_atom_site_type_symbol
_atom_site_fract_x
_atom_site_fract_y
_atom_site_fract_z
_atom_site_occupancy
K1 K 0.003 0.250 0.170 1
K2 K 0.215 0.250 0.568 1
Al1 Al 0.152 0.750 0.274 1
```